# 1
The following is a computed powder diffractogram of Nd8Sm3Ho4. It was derived from a structure optimized by DFT (GGA-PBE), using Cu Kα, 1.54184 Å.
Lines closer than 0.1° are merged.

Peak list (12 most intense, 2θ from 15° to 90°, sorted by position)
| two_theta | intensity | index |
| --- | --- | --- |
| 25.79 | 26.4 | 2 0 -2 |
| 29.14 | 100.0 | 0 4 0 |
| 29.23 | 90.0 | 4 0 0 |
| 29.43 | 36.2 | 0 0 2 |
| 29.68 | 48.1 | 2 2 -2 |
| 29.98 | 25.6 | 4 0 -2 |
| 32.93 | 39.9 | 0 2 2 |
| 33.43 | 42.7 | 4 2 -2 |
| 41.74 | 70.4 | 4 4 0 |
| 41.89 | 18.2 | 0 4 2 |
| 60.39 | 28.4 | 0 8 0 |
| 61.63 | 18.5 | 4 4 -4 |

Structural model:
a = 13.914 Å, b = 12.260 Å, c = 6.911 Å
α = 90.00°, β = 118.55°, γ = 90.00°
Space group C2/m (No. 12)
One atom of each set of equivalent atoms:
Nd (0.000, 0.205, 0.000) x4
Nd (0.000, 0.253, 0.500) x4
Nd (0.205, 0.000, 0.181) x4
Nd (0.245, 0.500, 0.283) x4
Sm (0.000, 0.000, 0.500) x2
Sm (0.250, 0.250, 0.000) x4
Ho (0.000, 0.500, 0.000) x2
Ho (0.000, 0.500, 0.500) x2
Ho (0.250, 0.250, 0.500) x4

=====

# 2
The following is a computed powder diffractogram of Nd3Sm8Ho4. It was derived from a structure optimized by DFT (GGA-PBE), using Cu Kα, 1.54184 Å.
Lines closer than 0.1° are merged.

Peak list (12 most intense, 2θ from 15° to 90°, sorted by position)
| two_theta | intensity | index |
| --- | --- | --- |
| 25.87 | 16.4 | 2 0 -2 |
| 29.31 | 100.0 | 0 4 0 |
| 29.77 | 40.0 | 0 0 2 |
| 29.87 | 13.0 | 4 0 -2 |
| 33.23 | 23.7 | 0 2 2 |
| 33.37 | 24.2 | 4 2 -2 |
| 39.44 | 11.1 | 2 4 -2 |
| 41.93 | 31.2 | 4 4 0 |
| 42.20 | 14.6 | 0 4 2 |
| 42.37 | 14.7 | 6 2 -2 |
| 53.18 | 12.1 | 4 0 -4 |
| 61.88 | 11.5 | 4 4 -4 |

Structural model:
a = 13.962 Å, b = 12.196 Å, c = 6.889 Å
α = 90.00°, β = 119.23°, γ = 90.00°
Space group C2/m (No. 12)
One atom of each set of equivalent atoms:
Nd (0.000, 0.000, 0.000) x2
Nd (0.250, 0.250, 0.000) x4
Sm (0.000, 0.205, 0.500) x4
Sm (0.000, 0.252, 0.000) x4
Sm (0.204, 0.000, 0.699) x4
Sm (0.247, 0.500, 0.752) x4
Ho (0.000, 0.500, 0.000) x2
Ho (0.000, 0.500, 0.500) x2
Ho (0.250, 0.250, 0.500) x4